# Sm4ThSc5
Computed powder diffractogram, Cu Kα X-rays. Input: a GGA-PBE-relaxed structure.
No peak broadening, texture or thermal motion is included.

Main lines, in order of rising 2θ (10 to 90 degrees two-theta):
2θ (°)  I/Imax
17.3  20
24.9  71
28.2  29
30.7  100
32.7  36
38.1  48
39.6  27
51.1  22
53.8  19
56.1  21

Crystal structure
Cell lengths 7.680, 7.680, 7.680 Å; angles 98.62, 98.62, 134.46 degrees
Element x y z (fractional)
Sm 0.000 0.321 0.321
Sm 0.000 0.679 0.679
Sm 0.321 0.000 0.321
Sm 0.679 0.000 0.679
Th 0.726 0.726 0.000
Sc 0.209 0.209 0.000
Sc 0.257 0.257 0.624
Sc 0.257 0.633 0.000
Sc 0.633 0.257 0.000
Sc 0.633 0.633 0.376

***

# Sm2Th2Sc5
Computed powder diffractogram, Cu Kα X-rays. Input: a GGA-PBE-relaxed structure.
No peak broadening, texture or thermal motion is included.

Main lines, in order of rising 2θ (10 to 90 degrees two-theta):
2θ (°)  I/Imax
15.3  100
26.8  60
27.1  51
29.3  34
29.7  51
30.9  49
31.3  43
34.5  31
35.2  39
37.4  54

Crystal structure
Cell lengths 10.614, 10.614, 7.689 Å; angles 97.54, 97.54, 18.10 degrees
Element x y z (fractional)
Sm 0.184 0.184 0.138
Sm 0.816 0.816 0.862
Th 0.448 0.448 0.652
Th 0.552 0.552 0.348
Sc 0.000 0.000 0.000
Sc 0.095 0.095 0.732
Sc 0.308 0.308 0.462
Sc 0.692 0.692 0.538
Sc 0.905 0.905 0.268

***

# Sm10ThSc4
Computed powder diffractogram, Cu Kα X-rays. Input: a GGA-PBE-relaxed structure.
No peak broadening, texture or thermal motion is included.

Main lines, in order of rising 2θ (10 to 90 degrees two-theta):
2θ (°)  I/Imax
20.9  17
23.6  25
24.4  65
26.0  28
30.3  21
34.2  100
34.8  59
39.9  36
42.4  20
46.8  19

Crystal structure
Cell lengths 8.990, 8.990, 8.990 Å; angles 100.13, 100.13, 130.41 degrees
Element x y z (fractional)
Sm 0.032 0.673 0.132
Sm 0.100 0.968 0.641
Sm 0.250 0.750 0.500
Sm 0.327 0.459 0.359
Sm 0.459 0.100 0.132
Sm 0.541 0.900 0.868
Sm 0.673 0.541 0.641
Sm 0.750 0.250 0.500
Sm 0.900 0.032 0.359
Sm 0.968 0.327 0.868
Th 0.000 0.000 0.000
Sc 0.300 0.431 0.731
Sc 0.431 0.700 0.131
Sc 0.569 0.300 0.869
Sc 0.700 0.569 0.269

***

# Sm2ScTi
Computed powder diffractogram, Cu Kα X-rays. Input: a GGA-PBE-relaxed structure.
No peak broadening, texture or thermal motion is included.

Main lines, in order of rising 2θ (10 to 90 degrees two-theta):
2θ (°)  I/Imax
19.4  24
26.2  25
32.8  100
37.4  36
39.3  14
42.4  14
53.9  12
55.3  19
64.5  27
68.7  10

Crystal structure
Cell lengths 3.403, 3.403, 9.173 Å; angles 90.00, 90.00, 90.00 degrees
Element x y z (fractional)
Sm 0.000 0.000 0.233
Sm 0.000 0.000 0.767
Sc 0.500 0.500 0.500
Ti 0.500 0.500 0.000

***

# Sm2Sc6Tl
Computed powder diffractogram, Cu Kα X-rays. Input: a GGA-PBE-relaxed structure.
No peak broadening, texture or thermal motion is included.

Main lines, in order of rising 2θ (10 to 90 degrees two-theta):
2θ (°)  I/Imax
18.4  45
20.0  91
27.6  43
31.0  28
33.2  100
33.4  70
36.0  36
37.4  58
46.3  30
54.5  31

Crystal structure
Cell lengths 9.056, 9.056, 9.056 Å; angles 158.93, 115.73, 68.45 degrees
Element x y z (fractional)
Sm 0.148 0.148 0.000
Sm 0.852 0.852 0.000
Sc 0.158 0.821 0.337
Sc 0.214 0.500 0.714
Sc 0.484 0.821 0.663
Sc 0.516 0.179 0.337
Sc 0.786 0.500 0.286
Sc 0.842 0.179 0.663
Tl 0.500 0.000 0.500

***

# SmSc7Tl4
Computed powder diffractogram, Cu Kα X-rays. Input: a GGA-PBE-relaxed structure.
No peak broadening, texture or thermal motion is included.

Main lines, in order of rising 2θ (10 to 90 degrees two-theta):
2θ (°)  I/Imax
18.5  39
23.8  100
26.6  39
29.8  83
33.5  74
34.4  45
35.8  61
39.0  38
45.5  31
48.8  34

Crystal structure
Cell lengths 7.081, 7.081, 10.602 Å; angles 121.07, 121.07, 44.42 degrees
Element x y z (fractional)
Sm 0.000 0.000 0.000
Sc 0.055 0.055 0.379
Sc 0.218 0.218 0.880
Sc 0.334 0.334 0.409
Sc 0.500 0.500 0.000
Sc 0.666 0.666 0.591
Sc 0.782 0.782 0.120
Sc 0.945 0.945 0.621
Tl 0.303 0.303 0.674
Tl 0.419 0.419 0.213
Tl 0.581 0.581 0.787
Tl 0.697 0.697 0.326